Structure and simulated X-ray powder pattern of Cd2B2PdO6 (DFT lattice parameters and positions (GGA-PBE); copper Kα).
No peak broadening, texture or thermal motion is included.

Top 8 peaks for 15 to 90 degrees two-theta, by intensity:
- 2.739 Å, 2θ = 32.69°, I = 100
- 2.540 Å, 2θ = 35.34°, I = 68
- 4.266 Å, 2θ = 20.82°, I = 55
- 1.862 Å, 2θ = 48.90°, I = 35
- 3.103 Å, 2θ = 28.78°, I = 29
- 1.502 Å, 2θ = 61.77°, I = 27
- 1.965 Å, 2θ = 46.19°, I = 24
- 1.626 Å, 2θ = 56.59°, I = 21

Cell and atoms:
a = 6.5306 Å, b = 6.5306 Å, c = 6.5306 Å
α = 45.77°, β = 45.77°, γ = 45.77°
Element x y z (fractional)
Cd 0.2037 0.2037 0.2037
Cd 0.7963 0.7963 0.7963
B 0.4209 0.4209 0.4209
B 0.5791 0.5791 0.5791
Pd 0.0000 0.0000 0.0000
O 0.2615 0.7331 0.7331
O 0.2669 0.2669 0.7385
O 0.2669 0.7385 0.2669
O 0.7331 0.2615 0.7331
O 0.7331 0.7331 0.2615
O 0.7385 0.2669 0.2669


Structure and simulated X-ray powder pattern of CdBPdO4 (DFT lattice parameters and positions (GGA-PBE); copper Kα).
No peak broadening, texture or thermal motion is included.

Top 8 peaks for 15 to 90 degrees two-theta, by intensity:
- 2.638 Å, 2θ = 33.99°, I = 100
- 2.563 Å, 2θ = 35.01°, I = 84
- 2.846 Å, 2θ = 31.43°, I = 63
- 3.802 Å, 2θ = 23.40°, I = 60
- 1.901 Å, 2θ = 47.86°, I = 57
- 2.554 Å, 2θ = 35.14°, I = 32
- 1.463 Å, 2θ = 63.61°, I = 24
- 4.748 Å, 2θ = 18.69°, I = 23

Cell and atoms:
a = 5.1616 Å, b = 5.1616 Å, c = 6.3441 Å
α = 90.00°, β = 90.00°, γ = 113.08°
Element x y z (fractional)
Cd 0.0000 0.0000 0.0000
Cd 0.0000 0.0000 0.5000
B 0.3713 0.6287 0.7500
B 0.6287 0.3713 0.2500
Pd 0.3101 0.6899 0.2500
Pd 0.6899 0.3101 0.7500
O 0.2701 0.3126 0.7500
O 0.2716 0.7284 0.5630
O 0.2716 0.7284 0.9370
O 0.3126 0.2701 0.2500
O 0.6874 0.7299 0.7500
O 0.7284 0.2716 0.0630
O 0.7284 0.2716 0.4370
O 0.7299 0.6874 0.2500


Structure and simulated X-ray powder pattern of PmCd2B2O6 (DFT lattice parameters and positions (GGA-PBE); copper Kα).
No peak broadening, texture or thermal motion is included.

Top 8 peaks for 15 to 90 degrees two-theta, by intensity:
- 3.827 Å, 2θ = 23.24°, I = 100
- 2.812 Å, 2θ = 31.83°, I = 68
- 2.611 Å, 2θ = 34.34°, I = 40
- 1.764 Å, 2θ = 51.82°, I = 30
- 2.157 Å, 2θ = 41.88°, I = 29
- 1.663 Å, 2θ = 55.23°, I = 24
- 1.913 Å, 2θ = 47.52°, I = 17
- 1.543 Å, 2θ = 59.93°, I = 17

Cell and atoms:
a = 5.2230 Å, b = 5.2230 Å, c = 7.1787 Å
α = 90.00°, β = 90.00°, γ = 120.00°
Element x y z (fractional)
Pm 0.0000 0.0000 0.0000
Cd 0.3333 0.6667 0.3393
Cd 0.6667 0.3333 0.6607
B 0.3333 0.6667 0.7964
B 0.6667 0.3333 0.2036
O 0.0789 0.6878 0.7981
O 0.3122 0.3911 0.7981
O 0.3911 0.0789 0.2019
O 0.6089 0.9211 0.7981
O 0.6878 0.6089 0.2019
O 0.9211 0.3122 0.2019


Structure and simulated X-ray powder pattern of CdBRhO4 (DFT lattice parameters and positions (GGA-PBE); copper Kα).
No peak broadening, texture or thermal motion is included.

Top 8 peaks for 15 to 90 degrees two-theta, by intensity:
- 2.642 Å, 2θ = 33.93°, I = 100
- 2.533 Å, 2θ = 35.44°, I = 81
- 2.849 Å, 2θ = 31.39°, I = 60
- 3.798 Å, 2θ = 23.42°, I = 54
- 1.899 Å, 2θ = 47.90°, I = 52
- 2.547 Å, 2θ = 35.24°, I = 28
- 1.577 Å, 2θ = 58.54°, I = 24
- 1.501 Å, 2θ = 61.83°, I = 21

Cell and atoms:
a = 5.1094 Å, b = 5.1094 Å, c = 6.3708 Å
α = 90.00°, β = 90.00°, γ = 112.21°
Element x y z (fractional)
Cd 0.0000 0.0000 0.0000
Cd 0.0000 0.0000 0.5000
B 0.3727 0.6273 0.7500
B 0.6273 0.3727 0.2500
Rh 0.3150 0.6850 0.2500
Rh 0.6850 0.3150 0.7500
O 0.2762 0.7238 0.5624
O 0.2762 0.7238 0.9376
O 0.2828 0.3063 0.7500
O 0.3063 0.2828 0.2500
O 0.6937 0.7172 0.7500
O 0.7172 0.6937 0.2500
O 0.7238 0.2762 0.0624
O 0.7238 0.2762 0.4376


Structure and simulated X-ray powder pattern of TbCdBO4 (DFT lattice parameters and positions (GGA-PBE); copper Kα).
No peak broadening, texture or thermal motion is included.

Top 8 peaks for 15 to 90 degrees two-theta, by intensity:
- 4.804 Å, 2θ = 18.47°, I = 100
- 2.688 Å, 2θ = 33.34°, I = 67
- 2.172 Å, 2θ = 41.58°, I = 66
- 2.570 Å, 2θ = 34.91°, I = 65
- 5.137 Å, 2θ = 17.26°, I = 50
- 1.511 Å, 2θ = 61.35°, I = 42
- 2.402 Å, 2θ = 37.44°, I = 39
- 2.542 Å, 2θ = 35.31°, I = 35

Cell and atoms:
a = 6.0643 Å, b = 6.0643 Å, c = 6.0643 Å
α = 122.32°, β = 115.35°, γ = 92.13°
Element x y z (fractional)
Tb 0.0000 0.0000 0.0000
Tb 0.5000 0.0000 0.5000
Cd 0.5000 0.0000 0.0000
Cd 0.5000 0.5000 0.5000
B 0.1231 0.3731 0.7500
B 0.8769 0.6269 0.2500
O 0.1701 0.7306 0.4396
O 0.2090 0.2694 0.9396
O 0.2336 0.2633 0.5296
O 0.2336 0.7040 0.9704
O 0.7664 0.2960 0.0296
O 0.7664 0.7367 0.4704
O 0.7910 0.7306 0.0604
O 0.8299 0.2694 0.5604


Structure and simulated X-ray powder pattern of UCdB2O8 (DFT lattice parameters and positions (GGA-PBE); copper Kα).
No peak broadening, texture or thermal motion is included.

Top 8 peaks for 15 to 90 degrees two-theta, by intensity:
- 4.442 Å, 2θ = 19.99°, I = 100
- 2.723 Å, 2θ = 32.89°, I = 47
- 4.079 Å, 2θ = 21.79°, I = 41
- 2.790 Å, 2θ = 32.08°, I = 38
- 2.419 Å, 2θ = 37.17°, I = 25
- 2.115 Å, 2θ = 42.76°, I = 24
- 3.513 Å, 2θ = 25.35°, I = 24
- 3.713 Å, 2θ = 23.97°, I = 18

Cell and atoms:
a = 4.8668 Å, b = 4.8668 Å, c = 7.0335 Å
α = 92.23°, β = 92.23°, γ = 65.94°
Element x y z (fractional)
U 0.0000 0.0000 0.0000
Cd 0.0000 0.0000 0.5000
B 0.3477 0.3477 0.7565
B 0.6523 0.6523 0.2435
O 0.2159 0.6775 0.7763
O 0.2282 0.2282 0.9148
O 0.2689 0.2689 0.5687
O 0.3225 0.7841 0.2237
O 0.6775 0.2159 0.7763
O 0.7311 0.7311 0.4313
O 0.7718 0.7718 0.0852
O 0.7841 0.3225 0.2237


Structure and simulated X-ray powder pattern of YCd2B2O6 (DFT lattice parameters and positions (GGA-PBE); copper Kα).
No peak broadening, texture or thermal motion is included.

Top 8 peaks for 15 to 90 degrees two-theta, by intensity:
- 3.783 Å, 2θ = 23.52°, I = 100
- 2.768 Å, 2θ = 32.34°, I = 76
- 2.591 Å, 2θ = 34.63°, I = 43
- 2.137 Å, 2θ = 42.28°, I = 33
- 1.738 Å, 2θ = 52.65°, I = 33
- 1.649 Å, 2θ = 55.76°, I = 25
- 1.891 Å, 2θ = 48.11°, I = 19
- 1.528 Å, 2θ = 60.62°, I = 18

Cell and atoms:
a = 5.1810 Å, b = 5.1810 Å, c = 7.0349 Å
α = 90.00°, β = 90.00°, γ = 120.00°
Element x y z (fractional)
Y 0.0000 0.0000 0.0000
Cd 0.3333 0.6667 0.3345
Cd 0.6667 0.3333 0.6655
B 0.3333 0.6667 0.8025
B 0.6667 0.3333 0.1975
O 0.0822 0.6972 0.8030
O 0.3028 0.3850 0.8030
O 0.3850 0.0822 0.1970
O 0.6150 0.9178 0.8030
O 0.6972 0.6150 0.1970
O 0.9178 0.3028 0.1970